Calculated XRD peak list of K2Tl5Pd for Cu Kα X-rays, from a DFT-relaxed cell (PBE, Alexandria).

Most intense lines, 5 to 70 degrees two-theta, sorted by position:
- 2θ 16.24, rel. 48.8
- 2θ 27.92, rel. 27.6
- 2θ 29.89, rel. 100.0
- 2θ 32.82, rel. 32.8
- 2θ 35.53, rel. 44.5
- 2θ 37.77, rel. 16.5
- 2θ 43.62, rel. 16.7
- 2θ 49.14, rel. 35.7
- 2θ 56.79, rel. 16.7
- 2θ 60.36, rel. 17.6

Crystal structure
Lattice parameters (Å, degrees): 7.1456 7.1456 5.4578 90.00 90.00 90.00
Fractional positions:
K  0.0000  0.5000  0.0000
K  0.5000  0.0000  0.0000
Tl  0.0000  0.0000  0.0000
Tl  0.2787  0.2787  0.5000
Tl  0.2787  0.7213  0.5000
Tl  0.7213  0.2787  0.5000
Tl  0.7213  0.7213  0.5000
Pd  0.0000  0.0000  0.5000


Calculated XRD peak list of Ti5Ni2N for Cu Kα X-rays, from a DFT-relaxed cell (PBE, Alexandria).

Most intense lines, 5 to 70 degrees two-theta, sorted by position:
- 2θ 22.70, rel. 92.3
- 2θ 28.07, rel. 20.8
- 2θ 31.01, rel. 24.1
- 2θ 35.99, rel. 32.2
- 2θ 37.04, rel. 25.3
- 2θ 39.75, rel. 51.0
- 2θ 41.75, rel. 89.3
- 2θ 43.93, rel. 100.0
- 2θ 57.02, rel. 23.6
- 2θ 60.76, rel. 25.2

Crystal structure
Lattice parameters (Å, degrees): 6.6828 6.6828 9.7094 90.00 90.00 144.11
Fractional positions:
Ti  0.0765  0.9235  0.6106
Ti  0.0765  0.9235  0.8894
Ti  0.3014  0.6986  0.2500
Ti  0.3055  0.6945  0.5813
Ti  0.3055  0.6945  0.9187
Ti  0.6945  0.3055  0.0813
Ti  0.6945  0.3055  0.4187
Ti  0.6986  0.3014  0.7500
Ti  0.9235  0.0765  0.1106
Ti  0.9235  0.0765  0.3894
Ni  0.1136  0.8864  0.1326
Ni  0.1136  0.8864  0.3674
Ni  0.8864  0.1136  0.6326
Ni  0.8864  0.1136  0.8674
N  0.2007  0.7993  0.7500
N  0.7993  0.2007  0.2500


Calculated XRD peak list of Pr3Nd2SmSe6 for Cu Kα X-rays, from a DFT-relaxed cell (PBE, Alexandria).

Most intense lines, 5 to 70 degrees two-theta, sorted by position:
- 2θ 25.72, rel. 11.8
- 2θ 25.83, rel. 3.9
- 2θ 29.81, rel. 100.0
- 2θ 42.59, rel. 37.5
- 2θ 42.74, rel. 37.2
- 2θ 50.45, rel. 4.6
- 2θ 50.56, rel. 2.6
- 2θ 52.86, rel. 19.8
- 2θ 53.11, rel. 6.5
- 2θ 61.93, rel. 12.3

Crystal structure
Lattice parameters (Å, degrees): 7.3442 7.3442 7.3520 99.56 99.56 120.25
Fractional positions:
Pr  0.0000  0.0000  0.0000
Pr  0.3313  0.6687  0.0000
Pr  0.6687  0.3313  0.0000
Nd  0.1667  0.8333  0.5000
Nd  0.8333  0.1667  0.5000
Sm  0.5000  0.5000  0.5000
Se  0.0884  0.4185  0.2553
Se  0.2521  0.2521  0.7465
Se  0.4185  0.0884  0.2553
Se  0.5815  0.9116  0.7447
Se  0.7479  0.7479  0.2535
Se  0.9116  0.5815  0.7447